Diffraction record for K2CdMoF6. The powder diffraction line list is computed, not measured: it uses a DFT-relaxed cell (PBE+U, Alexandria) and Cu Kα (weighted mean of Kα1 and Kα2).
Neutral-atom scattering factors, no anomalous dispersion.

Peak list (8 most intense, 5° ≤ 2θ ≤ 70°, by angle)
| d (Å) | two_theta | Rel. int. | h k l |
| --- | --- | --- | --- |
| 4.558 | 19.48 | 57 | 1 0 1 |
| 4.428 | 20.05 | 28 | 0 2 0 |
| 3.303 | 27.00 | 29 | 0 0 2 |
| 3.176 | 28.10 | 100 | 1 2 1 |
| 3.148 | 28.35 | 26 | 2 0 0 |
| 2.279 | 39.55 | 52 | 2 0 2 |
| 2.214 | 40.75 | 22 | 0 4 0 |
| 1.588 | 58.09 | 27 | 2 4 2 |

Cell and atoms:
```
K2CdMoF6
1.0
6.2968 0.0000 0.0000
0.0000 8.8560 0.0000
0.0000 0.0000 6.6051
K Cd Mo F
4 2 2 12
Cartesian
1.5742 0.2309 1.6470 K
1.5742 4.1972 1.6470 K
4.7226 4.6589 4.9581 K
4.7226 8.6252 4.9581 K
1.5742 6.6420 4.9569 Cd
4.7226 2.2140 1.6482 Cd
1.5742 2.2140 4.9494 Mo
4.7226 6.6420 1.6556 Mo
0.0643 2.2140 0.1335 F
0.0699 2.2140 3.1556 F
1.5742 0.0706 4.9523 F
1.5742 4.3574 4.9523 F
3.0785 2.2140 3.1556 F
3.0841 2.2140 0.1335 F
3.2127 6.6420 6.4715 F
3.2183 6.6420 3.4494 F
4.7226 4.4986 1.6527 F
4.7226 8.7855 1.6527 F
6.2270 6.6420 3.4494 F
6.2325 6.6420 6.4715 F
```